Diffraction record for LiPbSe. The powder diffractogram is computed, not measured: it uses a cell relaxed with PBE and Cu Ka.

Principal peaks in the range 2θ = 10–80°, in order of falling intensity:
h k l	Position (°2θ)	intensity
1 1 1	38.1	1000
1 0 1	29.6	906
0 1 0	23.5	803
0 1 2	42.7	339
0 0 2	35.1	311
1 2 1	57.4	286
0 0 1	17.4	272
1 1 3	65.0	212
0 1 1	29.3	198
2 1 2	66.7	184

a b c (Å): 3.743 3.792 5.108
angles (deg): 90.00 90.00 90.00
Positions (direct):
Li1 0.000 0.000 0.000
Pb1 0.000 0.500 0.500
Se1 0.500 0.500 0.000